1.
Computed powder XRD pattern of AcTiPt for Cu Kα (λ = 1.5418 Å), from a DFT-relaxed cell (GGA-PBE, Alexandria).

Atomic structure:
Cell: 11.176 5.116 5.121 Å, 90.00 90.00 90.00°
Sites, in units of the cell vectors:
1 Ac 0.171 0.000 0.000
2 Ac 0.171 0.500 0.500
3 Ac 0.829 0.000 0.000
4 Ac 0.829 0.500 0.500
5 Ti 0.400 0.000 0.498
6 Ti 0.400 0.500 0.998
7 Ti 0.600 0.000 0.498
8 Ti 0.600 0.500 0.998
9 Pt 0.000 0.000 0.500
10 Pt 0.000 0.500 0.000
11 Pt 0.500 0.000 0.999
12 Pt 0.500 0.500 0.499

Most intense lines, 2θ = 10–90°, low angle first:
2theta, Rel. int.
23.89, 15
24.60, 19
29.40, 15
34.55, 100
35.06, 56
50.42, 20
61.58, 15
62.57, 37

2.
Computed powder XRD pattern of Ac7Tl2Pt2 for Cu Kα (λ = 1.5418 Å), from a DFT-relaxed cell (GGA-PBE, Alexandria).

Atomic structure:
Cell: 10.601 10.601 10.601 Å, 156.76 65.17 120.08°
Sites, in units of the cell vectors:
1 Ac 0.000 0.000 0.000
2 Ac 0.080 0.405 0.675
3 Ac 0.176 0.790 0.386
4 Ac 0.403 0.790 0.614
5 Ac 0.522 0.624 0.899
6 Ac 0.725 0.624 0.101
7 Ac 0.730 0.405 0.325
8 Tl 0.364 0.123 0.241
9 Tl 0.882 0.123 0.759
10 Pt 0.365 0.365 0.000
11 Pt 0.784 0.284 0.500

Most intense lines, 2θ = 10–90°, low angle first:
2theta, Rel. int.
25.70, 46
26.32, 33
27.29, 53
30.16, 100
30.80, 43
34.46, 39
34.56, 35
42.32, 31

3.
Computed powder XRD pattern of Ac4TlPt2 for Cu Kα (λ = 1.5418 Å), from a DFT-relaxed cell (GGA-PBE, Alexandria).

Atomic structure:
Cell: 10.108 8.773 8.754 Å, 70.44 54.87 54.69°
Sites, in units of the cell vectors:
1 Ac 0.150 0.285 0.286
2 Ac 0.221 0.714 0.715
3 Ac 0.285 0.150 0.779
4 Ac 0.286 0.779 0.150
5 Ac 0.714 0.221 0.850
6 Ac 0.715 0.850 0.221
7 Ac 0.779 0.286 0.285
8 Ac 0.850 0.715 0.714
9 Tl 0.375 0.375 0.375
10 Tl 0.625 0.625 0.625
11 Pt 0.000 0.000 0.000
12 Pt 0.000 0.000 0.500
13 Pt 0.000 0.500 0.000
14 Pt 0.500 0.000 0.000

Most intense lines, 2θ = 10–90°, low angle first:
2theta, Rel. int.
24.91, 69
27.85, 100
33.11, 56
33.20, 38
35.53, 36
41.86, 36
43.78, 38
45.68, 27